[1]
Starting from a DFT-relaxed cell (GGA-PBE, Alexandria), the X-ray powder pattern of InBi7Pb12 was simulated for Cu Kα.
Intensities are scaled so that the largest is 100.

Largest 8 diffraction maxima, sorted by position, 2θ = 10–80°:
Position (°2θ), d (Å), intensity, (hkl)
28.82, 3.098, 22, 1 2 0
28.90, 3.089, 13, 2 0 1
31.62, 2.830, 100, 1 2 -3
33.48, 2.677, 20, 0 3 0
33.61, 2.667, 17, 3 0 0
35.61, 2.521, 14, -1 1 3
41.44, 2.179, 10, -2 3 2
56.33, 1.633, 13, 1 -5 4

Structural model:
```
data_InBi7Pb12
_symmetry_space_group_name_H-M 'P -1'
_symmetry_Int_Tables_number 2
_symmetry_space_group_name_Hall '-P 1'
_cell_length_a 9.270
_cell_length_b 9.294
_cell_length_c 9.303
_cell_angle_alpha 107.26
_cell_angle_beta 107.57
_cell_angle_gamma 107.38
loop_
_atom_site_label
_atom_site_type_symbol
_atom_site_fract_x
_atom_site_fract_y
_atom_site_fract_z
_atom_site_occupancy
In1 In 0.000 0.000 0.000 1
Bi1 Bi 0.046 0.344 0.928 1
Bi2 Bi 0.073 0.955 0.657 1
Bi3 Bi 0.344 0.928 0.046 1
Bi4 Bi 0.500 0.500 0.500 1
Pb1 Pb 0.011 0.398 0.287 1
Pb2 Pb 0.234 0.386 0.668 1
Pb3 Pb 0.288 0.009 0.398 1
Pb4 Pb 0.332 0.765 0.614 1
Pb5 Pb 0.387 0.668 0.235 1
Pb6 Pb 0.399 0.288 0.010 1
```

[2]
Starting from a DFT-relaxed cell (GGA-PBE, Alexandria), the X-ray powder pattern of In16BiPb12 was simulated for Cu Kα.
Intensities are scaled so that the largest is 100.

Largest 8 diffraction maxima, sorted by position, 2θ = 10–80°:
Position (°2θ), d (Å), intensity, (hkl)
29.66, 3.012, 100, 4 0 -2
30.98, 2.887, 100, 1 5 1
31.25, 2.862, 75, 1 3 2
31.43, 2.846, 68, 4 2 -2
31.57, 2.834, 81, 1 5 -2
32.26, 2.775, 100, 4 0 -3
34.33, 2.612, 90, 2 0 2
36.52, 2.460, 67, 2 0 -4

Structural model:
```
data_In16BiPb12
_symmetry_space_group_name_H-M 'C 1 m 1'
_symmetry_Int_Tables_number 8
_symmetry_space_group_name_Hall 'C -2y'
_cell_length_a 12.091
_cell_length_b 17.319
_cell_length_c 9.973
_cell_angle_alpha 90.00
_cell_angle_beta 122.81
_cell_angle_gamma 90.00
loop_
_atom_site_label
_atom_site_type_symbol
_atom_site_fract_x
_atom_site_fract_y
_atom_site_fract_z
_atom_site_occupancy
In1 In 0.000 0.000 0.000 1
In2 In 0.004 0.347 0.060 1
In3 In 0.091 0.153 0.229 1
In4 In 0.167 0.500 0.308 1
In5 In 0.175 0.500 0.663 1
In6 In 0.184 0.205 0.974 1
In7 In 0.218 0.139 0.650 1
In8 In 0.386 0.290 0.346 1
In9 In 0.466 0.500 0.368 1
In10 In 0.497 0.176 0.664 1
Bi1 Bi 0.247 0.000 0.934 1
Pb1 Pb 0.168 0.305 0.449 1
Pb2 Pb 0.255 0.403 0.039 1
Pb3 Pb 0.256 0.000 0.448 1
Pb4 Pb 0.356 0.303 0.847 1
Pb5 Pb 0.387 0.099 0.281 1
Pb6 Pb 0.464 0.404 0.659 1
Pb7 Pb 0.466 0.000 0.834 1
```

[3]
Starting from a DFT-relaxed cell (GGA-PBE, Alexandria), the X-ray powder pattern of In6BiPb10 was simulated for Cu Kα.
Intensities are scaled so that the largest is 100.

Largest 8 diffraction maxima, sorted by position, 2θ = 10–80°:
Position (°2θ), d (Å), intensity, (hkl)
22.96, 3.873, 13, 2 -1 1
31.62, 2.829, 35, 3 -1 1
32.41, 2.762, 83, 3 0 0
32.98, 2.716, 100, 1 1 2
46.92, 1.937, 28, 4 -2 2
49.92, 1.827, 14, 3 2 1
58.18, 1.586, 22, 4 1 2
59.27, 1.559, 18, 2 -1 4

Structural model:
```
data_In6BiPb10
_symmetry_space_group_name_H-M 'P -3 1 m'
_symmetry_Int_Tables_number 162
_symmetry_space_group_name_Hall '-P 3 2'
_cell_length_a 9.5688
_cell_length_b 9.5688
_cell_length_c 6.5969
_cell_angle_alpha 90.00
_cell_angle_beta 90.00
_cell_angle_gamma 120.00
loop_
_atom_site_label
_atom_site_type_symbol
_atom_site_fract_x
_atom_site_fract_y
_atom_site_fract_z
_atom_site_occupancy
In1 In 0.0000 0.3693 0.3139 1
Bi1 Bi 0.0000 0.0000 0.5000 1
Pb1 Pb 0.0000 0.2814 0.8252 1
Pb2 Pb 0.3333 0.6667 0.0000 1
Pb3 Pb 0.3333 0.6667 0.5000 1
```

[4]
Starting from a DFT-relaxed cell (GGA-PBE, Alexandria), the X-ray powder pattern of InBi2Pb2 was simulated for Cu Kα.
Intensities are scaled so that the largest is 100.

Largest 8 diffraction maxima, sorted by position, 2θ = 10–80°:
Position (°2θ), d (Å), intensity, (hkl)
19.63, 4.523, 27, 1 1 -1
22.47, 3.956, 60, 2 2 0
30.74, 2.909, 100, 0 4 1
31.98, 2.799, 90, 1 3 1
32.08, 2.790, 90, 3 3 -1
38.25, 2.353, 51, 2 0 -2
39.77, 2.267, 36, 4 0 0
49.58, 1.839, 31, 3 7 0

Structural model:
```
data_InBi2Pb2
_symmetry_space_group_name_H-M 'C 1 2/c 1'
_symmetry_Int_Tables_number 15
_symmetry_space_group_name_Hall '-C 2yc'
_cell_length_a 10.197
_cell_length_b 16.212
_cell_length_c 4.706
_cell_angle_alpha 90.00
_cell_angle_beta 117.24
_cell_angle_gamma 90.00
loop_
_atom_site_label
_atom_site_type_symbol
_atom_site_fract_x
_atom_site_fract_y
_atom_site_fract_z
_atom_site_occupancy
In1 In 0.000 0.070 0.250 1
Bi1 Bi 0.000 0.208 0.750 1
Bi2 Bi 0.000 0.348 0.250 1
Pb1 Pb 0.220 0.418 0.970 1
```

[5]
Starting from a DFT-relaxed cell (GGA-PBE, Alexandria), the X-ray powder pattern of In7Bi2Pb2 was simulated for Cu Kα.
Intensities are scaled so that the largest is 100.

Largest 8 diffraction maxima, sorted by position, 2θ = 10–80°:
Position (°2θ), d (Å), intensity, (hkl)
30.10, 2.969, 28, 2 0 -2
31.61, 2.830, 31, 1 1 -2
32.49, 2.755, 46, 0 4 0
33.34, 2.688, 100, 2 2 1
34.43, 2.605, 20, 3 3 -1
35.65, 2.519, 36, 4 2 -1
40.71, 2.216, 17, 3 3 -2
58.50, 1.578, 19, 2 6 1

Structural model:
```
data_In7Bi2Pb2
_symmetry_space_group_name_H-M 'C 1 2/m 1'
_symmetry_Int_Tables_number 12
_symmetry_space_group_name_Hall '-C 2y'
_cell_length_a 11.335
_cell_length_b 11.022
_cell_length_c 5.966
_cell_angle_alpha 90.00
_cell_angle_beta 116.05
_cell_angle_gamma 90.00
loop_
_atom_site_label
_atom_site_type_symbol
_atom_site_fract_x
_atom_site_fract_y
_atom_site_fract_z
_atom_site_occupancy
In1 In 0.000 0.000 0.000 1
In2 In 0.163 0.253 0.152 1
In3 In 0.218 0.000 0.601 1
Bi1 Bi 0.140 0.500 0.756 1
Pb1 Pb 0.000 0.218 0.500 1
```

[6]
Starting from a DFT-relaxed cell (GGA-PBE, Alexandria), the X-ray powder pattern of In5Bi3Pb2 was simulated for Cu Kα.
Intensities are scaled so that the largest is 100.

Largest 8 diffraction maxima, sorted by position, 2θ = 10–80°:
Position (°2θ), d (Å), intensity, (hkl)
25.22, 3.531, 45, 1 3 -2
28.78, 3.102, 51, 1 7 -1
29.71, 3.007, 52, 0 6 2
31.69, 2.823, 90, 2 0 0
31.93, 2.803, 100, 1 7 1
33.90, 2.644, 80, 1 3 -3
35.53, 2.527, 46, 0 10 1
41.72, 2.165, 38, 1 3 3

Structural model:
```
data_In5Bi3Pb2
_symmetry_space_group_name_H-M 'C 1 c 1'
_symmetry_Int_Tables_number 9
_symmetry_space_group_name_Hall 'C -2yc'
_cell_length_a 5.867
_cell_length_b 26.569
_cell_length_c 8.514
_cell_angle_alpha 90.00
_cell_angle_beta 105.76
_cell_angle_gamma 90.00
loop_
_atom_site_label
_atom_site_type_symbol
_atom_site_fract_x
_atom_site_fract_y
_atom_site_fract_z
_atom_site_occupancy
In1 In 0.000 0.053 0.000 1
In2 In 0.057 0.285 0.164 1
In3 In 0.061 0.398 0.232 1
In4 In 0.075 0.122 0.319 1
In5 In 0.467 0.199 0.279 1
Bi1 Bi 0.003 0.228 0.478 1
Bi2 Bi 0.025 0.058 0.622 1
Bi3 Bi 0.041 0.405 0.615 1
Pb1 Pb 0.121 0.170 0.860 1
Pb2 Pb 0.464 0.020 0.407 1
```